# Te16Rh9
Computed XRD peak list, a wavelength of 1.5418 Å. Input: the PBE geometry in Alexandria.
No peak broadening, texture or thermal motion is included.

Top 10 peaks for 2θ = 15–90°, by angle:
(1 0 1), 16.16°, I 19
(0 2 2), 30.53°, I 100
(3 0 -1), 30.69°, I 41
(1 2 3), 41.98°, I 32
(3 2 1), 42.10°, I 20
(0 4 0), 45.37°, I 19
(3 2 -3), 45.50°, I 38
(3 4 -1), 55.76°, I 17
(4 2 2), 57.03°, I 18
(0 6 2), 74.59°, I 13

Cell: 8.7915 7.9957 8.8375 Å, 90.00 103.03 90.00°
Space group P2/m (No. 10)
Symmetry-distinct sites (fractional):
Te (0.0376, 0.0000, 0.2008)
Te (0.0463, 0.5000, 0.2099)
Te (0.2150, 0.2510, 0.5505)
Te (0.2949, 0.2545, 0.9630)
Te (0.4495, 0.0000, 0.2895)
Te (0.4606, 0.5000, 0.2952)
Rh (0.0000, 0.0000, 0.5000)
Rh (0.0000, 0.2567, 0.0000)
Rh (0.2453, 0.5000, 0.7548)
Rh (0.2625, 0.0000, 0.7638)
Rh (0.5000, 0.2425, 0.5000)